1.
Structure and theoretical powder diffraction line list of InFeTcPt (a DFT-relaxed cell (GGA-PBE, OQMD); Cu Kα X-rays).

Largest 8 diffraction maxima, in order of rising 2θ, 2θ = 10–80°:
2θ = 24.35°, intensity 20; 2θ = 28.19°, intensity 1; 2θ = 40.29°, intensity 100; 2θ = 47.64°, intensity 10; 2θ = 58.30°, intensity 17; 2θ = 64.11°, intensity 5; 2θ = 73.24°, intensity 33; 2θ = 78.50°, intensity 4

Structure:
```
data_InFeTcPt
_chemical_formula_sum 'In1 Fe1 Tc1 Pt1'
_space_group_name_H-M_alt 'P 1'
_space_group_IT_number 1
_space_group_name_Hall 'P 1'
_cell_length_a 4.4768
_cell_length_b 4.4768
_cell_length_c 4.4768
_cell_angle_alpha 60.00
_cell_angle_beta 60.00
_cell_angle_gamma 60.00
loop_
_atom_site_label
_atom_site_type_symbol
_atom_site_fract_x
_atom_site_fract_y
_atom_site_fract_z
In1 In 0.0000 0.0000 0.0000
Fe1 Fe 0.2500 0.2500 0.2500
Tc1 Tc 0.5000 0.5000 0.5000
Pt1 Pt 0.7500 0.7500 0.7500
```

2.
Structure and theoretical powder diffraction line list of In10FeS10 (a DFT-relaxed cell (GGA-PBE, OQMD); Cu Kα X-rays).

Largest 10 diffraction maxima, in order of rising 2θ, 2θ = 10–80°:
2θ = 24.23°, intensity 51; 2θ = 26.93°, intensity 46; 2θ = 27.93°, intensity 36; 2θ = 29.00°, intensity 100; 2θ = 29.28°, intensity 41; 2θ = 31.84°, intensity 35; 2θ = 40.26°, intensity 38; 2θ = 45.20°, intensity 44; 2θ = 46.72°, intensity 30; 2θ = 48.43°, intensity 27

Structure:
```
data_In10FeS10
_chemical_formula_sum 'In20 Fe2 S20'
_space_group_name_H-M_alt 'P 1'
_space_group_IT_number 1
_space_group_name_Hall 'P 1'
_cell_length_a 11.5647
_cell_length_b 12.1172
_cell_length_c 7.5176
_cell_angle_alpha 90.00
_cell_angle_beta 90.00
_cell_angle_gamma 90.00
loop_
_atom_site_label
_atom_site_type_symbol
_atom_site_fract_x
_atom_site_fract_y
_atom_site_fract_z
In1 In 0.0000 0.0000 0.2429
In2 In 0.0000 0.0000 0.7571
In3 In 0.1237 0.4095 0.2491
In4 In 0.1237 0.4095 0.7509
In5 In 0.1435 0.7197 0.0000
In6 In 0.1648 0.6507 0.5000
In7 In 0.3352 0.1507 0.5000
In8 In 0.3565 0.2197 0.0000
In9 In 0.3763 0.9095 0.2491
In10 In 0.3763 0.9095 0.7509
In11 In 0.5000 0.5000 0.2429
In12 In 0.5000 0.5000 0.7571
In13 In 0.6237 0.0905 0.2491
In14 In 0.6237 0.0905 0.7509
In15 In 0.6435 0.7803 0.0000
In16 In 0.6648 0.8493 0.5000
In17 In 0.8352 0.3493 0.5000
In18 In 0.8565 0.2803 0.0000
In19 In 0.8763 0.5905 0.2491
In20 In 0.8763 0.5905 0.7509
Fe1 Fe 0.0000 0.5000 0.5000
Fe2 Fe 0.5000 0.0000 0.5000
S1 S 0.0730 0.2720 0.0000
S2 S 0.1114 0.1101 0.5000
S3 S 0.1704 0.8226 0.2804
S4 S 0.1704 0.8226 0.7196
S5 S 0.2219 0.5327 0.0000
S6 S 0.2781 0.0327 0.0000
S7 S 0.3296 0.3226 0.2804
S8 S 0.3296 0.3226 0.7196
S9 S 0.3886 0.6101 0.5000
S10 S 0.4270 0.7720 0.0000
S11 S 0.5730 0.2280 0.0000
S12 S 0.6114 0.3899 0.5000
S13 S 0.6704 0.6774 0.2804
S14 S 0.6704 0.6774 0.7196
S15 S 0.7219 0.9673 0.0000
S16 S 0.7781 0.4673 0.0000
S17 S 0.8296 0.1774 0.2804
S18 S 0.8296 0.1774 0.7196
S19 S 0.8886 0.8899 0.5000
S20 S 0.9270 0.7280 0.0000
```

3.
Structure and theoretical powder diffraction line list of SmInFeS3 (a DFT-relaxed cell (GGA-PBE, OQMD); Cu Kα X-rays).

Largest 10 diffraction maxima, in order of rising 2θ, 2θ = 10–80°:
2θ = 12.52°, intensity 63; 2θ = 20.90°, intensity 100; 2θ = 25.19°, intensity 55; 2θ = 28.66°, intensity 60; 2θ = 30.52°, intensity 92; 2θ = 33.71°, intensity 49; 2θ = 33.91°, intensity 84; 2θ = 42.55°, intensity 52; 2θ = 42.71°, intensity 43; 2θ = 57.29°, intensity 37

Structure:
```
data_SmInFeS3
_chemical_formula_sum 'Sm2 In2 Fe2 S6'
_space_group_name_H-M_alt 'P 1'
_space_group_IT_number 1
_space_group_name_Hall 'P 1'
_cell_length_a 7.3480
_cell_length_b 7.3480
_cell_length_c 10.6340
_cell_angle_alpha 90.00
_cell_angle_beta 90.00
_cell_angle_gamma 148.47
loop_
_atom_site_label
_atom_site_type_symbol
_atom_site_fract_x
_atom_site_fract_y
_atom_site_fract_z
Sm1 Sm 0.0000 0.0000 0.0000
Sm2 Sm 0.0000 0.0000 0.5000
In1 In 0.2477 0.7523 0.7500
In2 In 0.7523 0.2477 0.2500
Fe1 Fe 0.4728 0.5272 0.2500
Fe2 Fe 0.5272 0.4728 0.7500
S1 S 0.0630 0.9370 0.2500
S2 S 0.3746 0.6254 0.0785
S3 S 0.3746 0.6254 0.4215
S4 S 0.6254 0.3746 0.5785
S5 S 0.6254 0.3746 0.9215
S6 S 0.9370 0.0630 0.7500
```

4.
Structure and theoretical powder diffraction line list of In2Fe2Se5 (a DFT-relaxed cell (GGA-PBE, OQMD); Cu Kα X-rays).

Largest 10 diffraction maxima, in order of rising 2θ, 2θ = 10–80°:
2θ = 21.19°, intensity 44; 2θ = 25.71°, intensity 29; 2θ = 25.82°, intensity 29; 2θ = 27.85°, intensity 100; 2θ = 27.95°, intensity 50; 2θ = 29.00°, intensity 31; 2θ = 41.50°, intensity 84; 2θ = 45.31°, intensity 74; 2θ = 45.52°, intensity 37; 2θ = 50.91°, intensity 37

Structure:
```
data_In2Fe2Se5
_chemical_formula_sum 'In4 Fe4 Se10'
_space_group_name_H-M_alt 'P 1'
_space_group_IT_number 1
_space_group_name_Hall 'P 1'
_cell_length_a 3.9853
_cell_length_b 3.9989
_cell_length_c 33.5492
_cell_angle_alpha 89.92
_cell_angle_beta 89.98
_cell_angle_gamma 60.24
loop_
_atom_site_label
_atom_site_type_symbol
_atom_site_fract_x
_atom_site_fract_y
_atom_site_fract_z
In1 In 0.0000 0.0000 0.0000
In2 In 0.0012 0.0039 0.1745
In3 In 0.0020 0.9979 0.6765
In4 In 0.9991 0.0014 0.4989
Fe1 Fe 0.3307 0.3326 0.3835
Fe2 Fe 0.3312 0.3370 0.8975
Fe3 Fe 0.6615 0.6765 0.7907
Fe4 Fe 0.6650 0.6672 0.2780
Se1 Se 0.9999 0.0018 0.4220
Se2 Se 0.3316 0.3356 0.8275
Se3 Se 0.3334 0.3346 0.0389
Se4 Se 0.3349 0.3333 0.6377
Se5 Se 0.6649 0.6686 0.3479
Se6 Se 0.6662 0.6663 0.5378
Se7 Se 0.6678 0.6693 0.1355
Se8 Se 0.9978 0.0025 0.2526
Se9 Se 0.9976 0.0048 0.7534
Se10 Se 0.9987 0.0009 0.9220
```

5.
Structure and theoretical powder diffraction line list of InFeSi2 (a DFT-relaxed cell (GGA-PBE, OQMD); Cu Kα X-rays).

Largest 10 diffraction maxima, in order of rising 2θ, 2θ = 10–80°:
2θ = 24.48°, intensity 40; 2θ = 28.34°, intensity 8; 2θ = 40.51°, intensity 100; 2θ = 47.90°, intensity 20; 2θ = 50.18°, intensity 2; 2θ = 58.63°, intensity 16; 2θ = 64.49°, intensity 8; 2θ = 66.38°, intensity 3; 2θ = 73.69°, intensity 32; 2θ = 78.99°, intensity 6

Structure:
```
data_InFeSi2
_chemical_formula_sum 'In1 Fe1 Si2'
_space_group_name_H-M_alt 'P 1'
_space_group_IT_number 1
_space_group_name_Hall 'P 1'
_cell_length_a 4.4535
_cell_length_b 4.4535
_cell_length_c 4.4535
_cell_angle_alpha 60.00
_cell_angle_beta 60.00
_cell_angle_gamma 60.00
loop_
_atom_site_label
_atom_site_type_symbol
_atom_site_fract_x
_atom_site_fract_y
_atom_site_fract_z
In1 In 0.0000 0.0000 0.0000
Fe1 Fe 0.2500 0.2500 0.2500
Si1 Si 0.5000 0.5000 0.5000
Si2 Si 0.7500 0.7500 0.7500
```

6.
Structure and theoretical powder diffraction line list of InFe2Sn (a DFT-relaxed cell (GGA-PBE, OQMD); Cu Kα X-rays).

Largest 6 diffraction maxima, in order of rising 2θ, 2θ = 10–80°:
2θ = 28.07°, intensity 15; 2θ = 40.12°, intensity 100; 2θ = 49.68°, intensity 4; 2θ = 58.04°, intensity 16; 2θ = 65.69°, intensity 6; 2θ = 72.90°, intensity 33

Structure:
```
data_InFe2Sn
_chemical_formula_sum 'In4 Fe8 Sn4'
_space_group_name_H-M_alt 'P 1'
_space_group_IT_number 1
_space_group_name_Hall 'P 1'
_cell_length_a 6.3571
_cell_length_b 6.3571
_cell_length_c 6.3571
_cell_angle_alpha 90.00
_cell_angle_beta 90.00
_cell_angle_gamma 90.00
loop_
_atom_site_label
_atom_site_type_symbol
_atom_site_fract_x
_atom_site_fract_y
_atom_site_fract_z
In1 In 0.0000 0.0000 0.0000
In2 In 0.0000 0.0000 0.5000
In3 In 0.0000 0.5000 0.0000
In4 In 0.5000 0.0000 0.0000
Fe1 Fe 0.2567 0.2567 0.2567
Fe2 Fe 0.2567 0.2567 0.7433
Fe3 Fe 0.2567 0.7433 0.2567
Fe4 Fe 0.2567 0.7433 0.7433
Fe5 Fe 0.7433 0.2567 0.2567
Fe6 Fe 0.7433 0.2567 0.7433
Fe7 Fe 0.7433 0.7433 0.2567
Fe8 Fe 0.7433 0.7433 0.7433
Sn1 Sn 0.0000 0.5000 0.5000
Sn2 Sn 0.5000 0.0000 0.5000
Sn3 Sn 0.5000 0.5000 0.0000
Sn4 Sn 0.5000 0.5000 0.5000
```

7.
Structure and theoretical powder diffraction line list of Tm4InFe2Sn4 (a DFT-relaxed cell (GGA-PBE, OQMD); Cu Kα X-rays).

Largest 10 diffraction maxima, in order of rising 2θ, 2θ = 10–80°:
2θ = 30.97°, intensity 16; 2θ = 31.87°, intensity 83; 2θ = 32.60°, intensity 100; 2θ = 33.86°, intensity 54; 2θ = 34.02°, intensity 45; 2θ = 36.10°, intensity 21; 2θ = 37.16°, intensity 18; 2θ = 40.74°, intensity 51; 2θ = 52.26°, intensity 21; 2θ = 54.09°, intensity 28

Structure:
```
data_Tm4InFe2Sn4
_chemical_formula_sum 'Tm4 In1 Fe2 Sn4'
_space_group_name_H-M_alt 'P 1'
_space_group_IT_number 1
_space_group_name_Hall 'P 1'
_cell_length_a 8.2154
_cell_length_b 8.2154
_cell_length_c 7.6372
_cell_angle_alpha 107.42
_cell_angle_beta 107.42
_cell_angle_gamma 31.28
loop_
_atom_site_label
_atom_site_type_symbol
_atom_site_fract_x
_atom_site_fract_y
_atom_site_fract_z
Tm1 Tm 0.0846 0.0846 0.3741
Tm2 Tm 0.1499 0.1499 0.9486
Tm3 Tm 0.8501 0.8501 0.0514
Tm4 Tm 0.9154 0.9154 0.6259
In1 In 0.5000 0.5000 0.0000
Fe1 Fe 0.2664 0.2664 0.4121
Fe2 Fe 0.7336 0.7336 0.5879
Sn1 Sn 0.3003 0.3003 0.7651
Sn2 Sn 0.4222 0.4222 0.3367
Sn3 Sn 0.5778 0.5778 0.6633
Sn4 Sn 0.6997 0.6997 0.2349
```

8.
Structure and theoretical powder diffraction line list of Y2TmIn3Fe3 (a DFT-relaxed cell (GGA-PBE, OQMD); Cu Kα X-rays).

Largest 10 diffraction maxima, in order of rising 2θ, 2θ = 10–80°:
2θ = 33.44°, intensity 100; 2θ = 36.27°, intensity 67; 2θ = 36.67°, intensity 54; 2θ = 41.79°, intensity 27; 2θ = 43.83°, intensity 18; 2θ = 47.37°, intensity 20; 2θ = 56.51°, intensity 16; 2θ = 61.36°, intensity 23; 2θ = 64.99°, intensity 14; 2θ = 67.53°, intensity 26

Structure:
```
data_Y2TmIn3Fe3
_chemical_formula_sum 'Y2 Tm1 In3 Fe3'
_space_group_name_H-M_alt 'P 1'
_space_group_IT_number 1
_space_group_name_Hall 'P 1'
_cell_length_a 3.8380
_cell_length_b 7.4878
_cell_length_c 7.4878
_cell_angle_alpha 120.00
_cell_angle_beta 90.00
_cell_angle_gamma 90.00
loop_
_atom_site_label
_atom_site_type_symbol
_atom_site_fract_x
_atom_site_fract_y
_atom_site_fract_z
Y1 Y 0.0000 0.2049 0.7951
Y2 Y 0.0000 0.7951 0.2049
Tm1 Tm 0.0000 0.6099 0.6099
In1 In 0.5000 0.2037 0.4619
In2 In 0.5000 0.4619 0.2037
In3 In 0.5000 0.9442 0.9442
Fe1 Fe 0.0000 0.2062 0.2062
Fe2 Fe 0.5000 0.5391 0.8669
Fe3 Fe 0.5000 0.8669 0.5391
```

9.
Structure and theoretical powder diffraction line list of YZrInFe (a DFT-relaxed cell (GGA-PBE, OQMD); Cu Kα X-rays).

Largest 10 diffraction maxima, in order of rising 2θ, 2θ = 10–80°:
2θ = 22.64°, intensity 3; 2θ = 26.20°, intensity 4; 2θ = 37.40°, intensity 100; 2θ = 44.16°, intensity 2; 2θ = 46.24°, intensity 1; 2θ = 53.92°, intensity 17; 2θ = 59.21°, intensity 1; 2θ = 60.91°, intensity 1; 2θ = 67.46°, intensity 33; 2θ = 79.76°, intensity 10

Structure:
```
data_YZrInFe
_chemical_formula_sum 'Y1 Zr1 In1 Fe1'
_space_group_name_H-M_alt 'P 1'
_space_group_IT_number 1
_space_group_name_Hall 'P 1'
_cell_length_a 4.8096
_cell_length_b 4.8096
_cell_length_c 4.8096
_cell_angle_alpha 60.00
_cell_angle_beta 60.00
_cell_angle_gamma 60.00
loop_
_atom_site_label
_atom_site_type_symbol
_atom_site_fract_x
_atom_site_fract_y
_atom_site_fract_z
Y1 Y 0.0000 0.0000 0.0000
Zr1 Zr 0.7500 0.7500 0.7500
In1 In 0.2500 0.2500 0.2500
Fe1 Fe 0.5000 0.5000 0.5000
```

10.
Structure and theoretical powder diffraction line list of Fe7Ir (a DFT-relaxed cell (GGA-PBE, OQMD); Cu Kα X-rays).

Largest 10 diffraction maxima, in order of rising 2θ, 2θ = 10–80°:
2θ = 15.38°, intensity 9; 2θ = 21.82°, intensity 10; 2θ = 26.80°, intensity 12; 2θ = 31.05°, intensity 6; 2θ = 34.82°, intensity 7; 2θ = 38.26°, intensity 5; 2θ = 44.48°, intensity 100; 2θ = 47.34°, intensity 3; 2θ = 52.70°, intensity 6; 2θ = 64.72°, intensity 15

Structure:
```
data_Fe7Ir
_chemical_formula_sum 'Fe7 Ir1'
_space_group_name_H-M_alt 'P 1'
_space_group_IT_number 1
_space_group_name_Hall 'P 1'
_cell_length_a 4.0731
_cell_length_b 4.0731
_cell_length_c 5.7627
_cell_angle_alpha 90.00
_cell_angle_beta 90.00
_cell_angle_gamma 90.00
loop_
_atom_site_label
_atom_site_type_symbol
_atom_site_fract_x
_atom_site_fract_y
_atom_site_fract_z
Fe1 Fe 0.0000 0.0000 0.0000
Fe2 Fe 0.0000 0.0000 0.5000
Fe3 Fe 0.0000 0.5000 0.2425
Fe4 Fe 0.0000 0.5000 0.7575
Fe5 Fe 0.5000 0.0000 0.2425
Fe6 Fe 0.5000 0.0000 0.7575
Fe7 Fe 0.5000 0.5000 0.0000
Ir1 Ir 0.5000 0.5000 0.5000
```

11.
Structure and theoretical powder diffraction line list of LiFeIr (a DFT-relaxed cell (GGA-PBE, OQMD); Cu Kα X-rays).

Largest 8 diffraction maxima, in order of rising 2θ, 2θ = 10–80°:
2θ = 28.36°, intensity 100; 2θ = 32.86°, intensity 25; 2θ = 47.16°, intensity 64; 2θ = 55.95°, intensity 46; 2θ = 58.67°, intensity 7; 2θ = 68.90°, intensity 10; 2θ = 76.12°, intensity 18; 2θ = 78.47°, intensity 9

Structure:
```
data_LiFeIr
_chemical_formula_sum 'Li1 Fe1 Ir1'
_space_group_name_H-M_alt 'P 1'
_space_group_IT_number 1
_space_group_name_Hall 'P 1'
_cell_length_a 3.8545
_cell_length_b 3.8545
_cell_length_c 3.8545
_cell_angle_alpha 60.00
_cell_angle_beta 60.00
_cell_angle_gamma 60.00
loop_
_atom_site_label
_atom_site_type_symbol
_atom_site_fract_x
_atom_site_fract_y
_atom_site_fract_z
Li1 Li 0.0000 0.0000 0.0000
Fe1 Fe 0.7500 0.7500 0.7500
Ir1 Ir 0.5000 0.5000 0.5000
```

12.
Structure and theoretical powder diffraction line list of Ta2Zn2FeNiIr2 (a DFT-relaxed cell (GGA-PBE, OQMD); Cu Kα X-rays).

Largest 6 diffraction maxima, in order of rising 2θ, 2θ = 10–80°:
2θ = 25.23°, intensity 27; 2θ = 41.78°, intensity 100; 2θ = 49.44°, intensity 14; 2θ = 60.57°, intensity 17; 2θ = 66.67°, intensity 6; 2θ = 76.29°, intensity 33

Structure:
```
data_Ta2Zn2FeNiIr2
_chemical_formula_sum 'Ta2 Zn2 Fe1 Ni1 Ir2'
_space_group_name_H-M_alt 'P 1'
_space_group_IT_number 1
_space_group_name_Hall 'P 1'
_cell_length_a 4.3220
_cell_length_b 4.3220
_cell_length_c 6.1191
_cell_angle_alpha 90.00
_cell_angle_beta 90.00
_cell_angle_gamma 90.00
loop_
_atom_site_label
_atom_site_type_symbol
_atom_site_fract_x
_atom_site_fract_y
_atom_site_fract_z
Ta1 Ta 0.0000 0.5000 0.2478
Ta2 Ta 0.5000 0.0000 0.7522
Zn1 Zn 0.0000 0.5000 0.7497
Zn2 Zn 0.5000 0.0000 0.2503
Fe1 Fe 0.0000 0.0000 0.0000
Ni1 Ni 0.5000 0.5000 0.5000
Ir1 Ir 0.0000 0.0000 0.5000
Ir2 Ir 0.5000 0.5000 0.0000
```

Copy entry 1 word for word.
Structure and theoretical powder diffraction line list of InFeTcPt (a DFT-relaxed cell (GGA-PBE, OQMD); Cu Kα X-rays).

Largest 8 diffraction maxima, in order of rising 2θ, 2θ = 10–80°:
2θ = 24.35°, intensity 20; 2θ = 28.19°, intensity 1; 2θ = 40.29°, intensity 100; 2θ = 47.64°, intensity 10; 2θ = 58.30°, intensity 17; 2θ = 64.11°, intensity 5; 2θ = 73.24°, intensity 33; 2θ = 78.50°, intensity 4

Structure:
```
data_InFeTcPt
_chemical_formula_sum 'In1 Fe1 Tc1 Pt1'
_space_group_name_H-M_alt 'P 1'
_space_group_IT_number 1
_space_group_name_Hall 'P 1'
_cell_length_a 4.4768
_cell_length_b 4.4768
_cell_length_c 4.4768
_cell_angle_alpha 60.00
_cell_angle_beta 60.00
_cell_angle_gamma 60.00
loop_
_atom_site_label
_atom_site_type_symbol
_atom_site_fract_x
_atom_site_fract_y
_atom_site_fract_z
In1 In 0.0000 0.0000 0.0000
Fe1 Fe 0.2500 0.2500 0.2500
Tc1 Tc 0.5000 0.5000 0.5000
Pt1 Pt 0.7500 0.7500 0.7500
```